(1)
Computed X-ray diffraction stick pattern of K3Ta for Cu Kα, 1.54184 Å, from the GGA-PBE geometry in the Materials Project.
Neutral-atom scattering factors, no anomalous dispersion.

abc: 5.8142 5.8142 10.9621
angles: 90.00 90.00 90.00
Space group I4/mmm (No. 139)
One atom of each set of equivalent atoms:
1 K 0.0000 0.0000 0.0000 (multiplicity 2)
2 K 0.0000 0.5000 0.2500 (multiplicity 4)
3 Ta 0.0000 0.0000 0.5000 (multiplicity 2)

Largest 12 diffraction maxima, sorted by position, 10 to 80 degrees two-theta:
2θ 16.2, rel. 16.5; 2θ 17.3, rel. 57.2; 2θ 21.6, rel. 17.1; 2θ 27.1, rel. 100.0; 2θ 28.9, rel. 17.1; 2θ 30.8, rel. 35.8; 2θ 32.7, rel. 15.2; 2θ 35.5, rel. 20.4; 2θ 44.1, rel. 18.5; 2θ 45.5, rel. 23.3; 2θ 52.5, rel. 29.9; 2θ 55.0, rel. 12.9



(2)
Computed X-ray diffraction stick pattern of ErAlGeO5 for Cu Kα, 1.54184 Å, from the GGA-PBE geometry in the Materials Project.
Neutral-atom scattering factors, no anomalous dispersion.

abc: 7.2807 8.3834 5.6523
angles: 90.00 90.00 90.00
Space group Pbam (No. 55)
One atom of each set of equivalent atoms:
1 Er 0.1428 0.1737 0.0000 (multiplicity 4)
2 Al 0.0000 0.5000 0.2483 (multiplicity 4)
3 Ge 0.1205 0.8554 0.5000 (multiplicity 4)
4 O 0.0000 0.0000 0.2833 (multiplicity 4)
5 O 0.1070 0.7126 0.2509 (multiplicity 8)
6 O 0.1531 0.4319 0.5000 (multiplicity 4)
7 O 0.1622 0.4451 0.0000 (multiplicity 4)

Largest 12 diffraction maxima, sorted by position, 10 to 80 degrees two-theta:
2θ 15.7, rel. 23.0; 2θ 29.2, rel. 75.1; 2θ 31.1, rel. 100.0; 2θ 31.7, rel. 23.1; 2θ 34.4, rel. 22.2; 2θ 41.9, rel. 19.0; 2θ 47.4, rel. 19.9; 2θ 48.0, rel. 16.0; 2θ 54.9, rel. 12.6; 2θ 56.1, rel. 24.1; 2θ 60.2, rel. 19.0; 2θ 60.5, rel. 12.6



(3)
Computed X-ray diffraction stick pattern of Sc2NiB2Ir5 for Cu Kα, 1.54184 Å, from the GGA-PBE geometry in the Materials Project.
Neutral-atom scattering factors, no anomalous dispersion.

abc: 9.3494 9.3494 3.0711
angles: 90.00 90.00 90.00
Space group P4/mbm (No. 127)
One atom of each set of equivalent atoms:
1 Sc 0.1758 0.3242 0.0000 (multiplicity 4)
2 Ni 0.0000 0.0000 0.0000 (multiplicity 2)
3 B 0.1259 0.6259 0.0000 (multiplicity 4)
4 Ir 0.0000 0.5000 0.5000 (multiplicity 2)
5 Ir 0.0705 0.7862 0.5000 (multiplicity 8)

Largest 12 diffraction maxima, sorted by position, 10 to 80 degrees two-theta:
2θ 21.2, rel. 31.1; 2θ 29.1, rel. 83.0; 2θ 30.2, rel. 36.6; 2θ 34.6, rel. 47.5; 2θ 36.3, rel. 44.7; 2θ 39.8, rel. 77.9; 2θ 42.4, rel. 100.0; 2θ 43.3, rel. 45.2; 2θ 45.8, rel. 55.4; 2θ 50.0, rel. 44.4; 2θ 71.4, rel. 34.3; 2θ 78.8, rel. 43.1



(4)
Computed X-ray diffraction stick pattern of Ba3Cd2As4 for Cu Kα, 1.54184 Å, from the GGA-PBE geometry in the Materials Project.
Neutral-atom scattering factors, no anomalous dispersion.

abc: 17.2748 4.6686 7.4164
angles: 90.00 112.14 90.00
Space group C2/m (No. 12)
One atom of each set of equivalent atoms:
1 Ba 0.0000 0.0000 0.0000 (multiplicity 2)
2 Ba 0.1415 0.0000 0.5780 (multiplicity 4)
3 Cd 0.1695 0.5000 0.9708 (multiplicity 4)
4 As 0.0053 0.5000 0.6743 (multiplicity 4)
5 As 0.2072 0.0000 0.1927 (multiplicity 4)

Largest 12 diffraction maxima, sorted by position, 10 to 80 degrees two-theta:
2θ 25.4, rel. 69.1; 2θ 31.1, rel. 62.1; 2θ 31.3, rel. 100.0; 2θ 31.6, rel. 28.8; 2θ 32.3, rel. 17.8; 2θ 33.6, rel. 34.2; 2θ 38.6, rel. 45.1; 2θ 43.0, rel. 15.9; 2θ 45.1, rel. 16.0; 2θ 52.1, rel. 26.7; 2θ 53.2, rel. 16.8; 2θ 62.6, rel. 16.1



(5)
Computed X-ray diffraction stick pattern of HoHg3 for Cu Kα, 1.54184 Å, from the GGA-PBE geometry in the Materials Project.
Neutral-atom scattering factors, no anomalous dispersion.

abc: 6.6418 6.6418 5.0207
angles: 90.00 90.00 120.00
Space group P6_3/mmc (No. 194)
One atom of each set of equivalent atoms:
1 Ho 0.3333 0.6667 0.2500 (multiplicity 2)
2 Hg 0.1667 0.3333 0.7500 (multiplicity 6)

Largest 12 diffraction maxima, sorted by position, 10 to 80 degrees two-theta:
2θ 23.5, rel. 0.7; 2θ 31.1, rel. 24.4; 2θ 35.8, rel. 22.6; 2θ 36.0, rel. 100.0; 2θ 48.1, rel. 14.8; 2θ 55.3, rel. 19.7; 2θ 64.4, rel. 18.8; 2θ 64.8, rel. 3.1; 2θ 67.7, rel. 21.7; 2θ 67.8, rel. 16.2; 2θ 75.8, rel. 2.7; 2θ 76.3, rel. 3.9